The following is a simulated powder diffractogram of Li2B2SbO6. It was derived from a cell relaxed with PBE, using copper Kα.
Intensities are scaled so that the largest is 100.

Structural model:
```
data_Li2B2SbO6
_chemical_formula_sum 'Li2 B2 Sb1 O6'
_cell_length_a 4.9509
_cell_length_b 4.9509
_cell_length_c 6.1174
_cell_angle_alpha 90.00
_cell_angle_beta 90.00
_cell_angle_gamma 120.00
_symmetry_space_group_name_H-M 'P -3'
_symmetry_Int_Tables_number 147
_symmetry_space_group_name_Hall '-P 3'
loop_
_atom_site_label
_atom_site_fract_x
_atom_site_fract_y
_atom_site_fract_z
_atom_site_occupancy
Li1 0.3333 0.6667 0.2999 1
B1 0.3333 0.6667 0.7936 1
Sb1 0.0000 0.0000 0.0000 1
O1 0.0616 0.6834 0.7891 1
```

Largest 8 diffraction maxima, by angle, 2θ = 10–80°:
2θ 14.48, 6.117 Å, rel. 96, hkl 0 0 1
2θ 20.72, 4.288 Å, rel. 54, hkl 1 0 0
2θ 25.37, 3.511 Å, rel. 100, hkl 1 0 1
2θ 36.07, 2.490 Å, rel. 52, hkl 1 0 2
2θ 39.26, 2.295 Å, rel. 38, hkl 2 -1 1
2θ 44.80, 2.023 Å, rel. 22, hkl 2 0 1
2θ 47.24, 1.924 Å, rel. 24, hkl 2 -1 2
2θ 58.96, 1.567 Å, rel. 20, hkl 2 1 1

=====

The following is a simulated powder diffractogram of Li2SiBSbO7. It was derived from a cell relaxed with PBE, using copper Kα.
Intensities are scaled so that the largest is 100.

Structural model:
```
data_Li2SiBSbO7
_chemical_formula_sum 'Li4 Si2 B2 Sb2 O14'
_cell_length_a 5.1892
_cell_length_b 6.4504
_cell_length_c 9.2334
_cell_angle_alpha 90.00
_cell_angle_beta 93.72
_cell_angle_gamma 90.00
_symmetry_space_group_name_H-M 'P 1 21/m 1'
_symmetry_Int_Tables_number 11
_symmetry_space_group_name_Hall '-P 2yb'
loop_
_atom_site_label
_atom_site_fract_x
_atom_site_fract_y
_atom_site_fract_z
_atom_site_occupancy
Li1 0.2447 0.0173 0.3310 1
Si1 0.2726 0.2500 0.9307 1
B1 0.2582 0.7500 0.5666 1
Sb1 0.2105 0.7500 0.8394 1
O1 0.0203 0.7500 0.6372 1
O2 0.1377 0.2500 0.0860 1
O3 0.1899 0.0540 0.8263 1
O4 0.2871 0.7500 0.4256 1
O5 0.4128 0.7500 0.0272 1
O6 0.4671 0.7500 0.6790 1
```

Largest 8 diffraction maxima, by angle, 2θ = 10–80°:
2θ 16.78, 5.284 Å, rel. 100, hkl 0 1 1
2θ 19.11, 4.645 Å, rel. 37, hkl 1 0 -1
2θ 20.21, 4.394 Å, rel. 49, hkl 1 0 1
2θ 22.01, 4.038 Å, rel. 45, hkl 1 1 0
2θ 25.02, 3.559 Å, rel. 48, hkl 1 0 -2
2θ 26.72, 3.336 Å, rel. 20, hkl 1 0 2
2θ 27.66, 3.225 Å, rel. 52, hkl 0 2 0
2θ 37.67, 2.388 Å, rel. 33, hkl 1 1 3

=====

The following is a simulated powder diffractogram of Li3SnB2O6. It was derived from a cell relaxed with PBE, using copper Kα.
Intensities are scaled so that the largest is 100.

Structural model:
```
data_Li3SnB2O6
_chemical_formula_sum 'Li12 Sn4 B8 O24'
_cell_length_a 8.8768
_cell_length_b 6.4586
_cell_length_c 10.0728
_cell_angle_alpha 90.00
_cell_angle_beta 116.37
_cell_angle_gamma 90.00
_symmetry_space_group_name_H-M 'P 1 21/c 1'
_symmetry_Int_Tables_number 14
_symmetry_space_group_name_Hall '-P 2ybc'
loop_
_atom_site_label
_atom_site_fract_x
_atom_site_fract_y
_atom_site_fract_z
_atom_site_occupancy
Li1 0.1052 0.2475 0.4810 1
Li2 0.2065 0.5624 0.1666 1
Li3 0.3414 0.7214 0.5433 1
Sn1 0.3092 0.0373 0.3054 1
B1 0.0409 0.6615 0.8210 1
B2 0.4519 0.1688 0.1196 1
O1 0.0896 0.7023 0.7100 1
O2 0.1148 0.2099 0.6864 1
O3 0.1586 0.5583 0.9465 1
O4 0.2983 0.0686 0.0644 1
O5 0.4397 0.6505 0.2328 1
O6 0.4972 0.2039 0.5302 1
```

Largest 8 diffraction maxima, by angle, 2θ = 10–80°:
2θ 16.88, 5.252 Å, rel. 21, hkl 0 1 1
2θ 17.67, 5.020 Å, rel. 100, hkl 1 1 -1
2θ 19.67, 4.512 Å, rel. 28, hkl 0 0 2
2θ 22.31, 3.985 Å, rel. 26, hkl 2 0 -2
2θ 22.57, 3.940 Å, rel. 55, hkl 1 1 1
2θ 35.81, 2.508 Å, rel. 33, hkl 2 2 0
2θ 36.54, 2.459 Å, rel. 24, hkl 3 1 -3
2θ 38.79, 2.322 Å, rel. 21, hkl 1 2 2

=====

The following is a simulated powder diffractogram of Li2SnBO4. It was derived from a cell relaxed with PBE, using copper Kα.
Intensities are scaled so that the largest is 100.

Structural model:
```
data_Li2SnBO4
_chemical_formula_sum 'Li8 Sn4 B4 O16'
_cell_length_a 7.6000
_cell_length_b 5.0934
_cell_length_c 10.2644
_cell_angle_alpha 90.00
_cell_angle_beta 99.07
_cell_angle_gamma 90.00
_symmetry_space_group_name_H-M 'P 1 21/c 1'
_symmetry_Int_Tables_number 14
_symmetry_space_group_name_Hall '-P 2ybc'
loop_
_atom_site_label
_atom_site_fract_x
_atom_site_fract_y
_atom_site_fract_z
_atom_site_occupancy
Li1 0.0922 0.1514 0.2946 1
Li2 0.1950 0.1752 0.5745 1
Sn1 0.4941 0.1207 0.8767 1
B1 0.1660 0.6853 0.4385 1
O1 0.0317 0.6846 0.8630 1
O2 0.2033 0.0802 0.9173 1
O3 0.2759 0.6759 0.0410 1
O4 0.3807 0.1488 0.2279 1
```

Largest 8 diffraction maxima, by angle, 2θ = 10–80°:
2θ 11.79, 7.505 Å, rel. 100, hkl 1 0 0
2θ 19.51, 4.551 Å, rel. 28, hkl 0 1 1
2θ 22.11, 4.020 Å, rel. 22, hkl 1 1 -1
2θ 23.57, 3.775 Å, rel. 14, hkl 1 1 1
2θ 23.71, 3.752 Å, rel. 20, hkl 2 0 0
2θ 24.78, 3.593 Å, rel. 18, hkl 0 1 2
2θ 26.28, 3.391 Å, rel. 46, hkl 1 1 -2
2θ 35.47, 2.531 Å, rel. 27, hkl 0 0 4

=====

The following is a simulated powder diffractogram of SrLiB9O15. It was derived from a cell relaxed with PBE, using copper Kα.
Intensities are scaled so that the largest is 100.

Structural model:
```
data_SrLiB9O15
_chemical_formula_sum 'Sr6 Li6 B54 O90'
_cell_length_a 10.8138
_cell_length_b 10.8138
_cell_length_c 17.7923
_cell_angle_alpha 90.00
_cell_angle_beta 90.00
_cell_angle_gamma 120.00
_symmetry_space_group_name_H-M 'R 3 c'
_symmetry_Int_Tables_number 161
_symmetry_space_group_name_Hall 'R 3 -2"c'
loop_
_atom_site_label
_atom_site_fract_x
_atom_site_fract_y
_atom_site_fract_z
_atom_site_occupancy
Sr1 0.0000 0.0000 0.0000 1
Li1 0.0000 0.0000 0.2399 1
B1 0.0023 0.4401 0.2806 1
B2 0.0588 0.4583 0.8882 1
B3 0.1259 0.3952 0.0064 1
O1 0.0012 0.1748 0.2806 1
O2 0.0148 0.2590 0.9973 1
O3 0.0871 0.4092 0.2276 1
O4 0.1058 0.5458 0.8274 1
O5 0.2050 0.4374 0.0706 1
```

Largest 8 diffraction maxima, by angle, 2θ = 10–80°:
2θ 13.73, 6.450 Å, rel. 92, hkl 0 1 2
2θ 22.12, 4.018 Å, rel. 40, hkl 1 0 4
2θ 22.25, 3.996 Å, rel. 53, hkl 1 1 3
2θ 27.11, 3.289 Å, rel. 100, hkl 1 2 2
2θ 32.32, 2.770 Å, rel. 31, hkl 2 1 4
2θ 39.81, 2.264 Å, rel. 25, hkl 0 4 2
2θ 43.69, 2.072 Å, rel. 23, hkl 4 0 4
2θ 44.32, 2.044 Å, rel. 26, hkl 4 1 0